Entry 1:
Starting from a cell relaxed with PBE, the PXRD pattern of Nd8Ga3Co was computed for Cu Kα (λ = 1.5418 Å).

Crystal structure
Unit cell a=10.4510 b=10.4510 c=7.0141 alpha=90.00 beta=90.00 gamma=120.00
Fractional positions:
1 Nd 0.0000 0.0000 0.1053
2 Nd 0.0000 0.0000 0.6053
3 Nd 0.0737 0.5369 0.1171
4 Nd 0.1714 0.3429 0.8224
5 Nd 0.1714 0.8286 0.8224
6 Nd 0.3333 0.6667 0.5000
7 Nd 0.3429 0.1714 0.3224
8 Nd 0.4631 0.5369 0.1171
9 Nd 0.4631 0.9263 0.1171
10 Nd 0.5369 0.0737 0.6171
11 Nd 0.5369 0.4631 0.6171
12 Nd 0.6571 0.8286 0.8224
13 Nd 0.6667 0.3333 0.0000
14 Nd 0.8286 0.1714 0.3224
15 Nd 0.8286 0.6571 0.3224
16 Nd 0.9263 0.4631 0.6171
17 Ga 0.1643 0.3287 0.3623
18 Ga 0.1643 0.8357 0.3623
19 Ga 0.3287 0.1643 0.8623
20 Ga 0.6713 0.8357 0.3623
21 Ga 0.8357 0.1643 0.8623
22 Ga 0.8357 0.6713 0.8623
23 Co 0.3333 0.6667 0.8831
24 Co 0.6667 0.3333 0.3831

The 12 most intense peaks (10 to 90 degrees two-theta), sorted by position:
23.39°, 3.803 Å, I 11.6; 29.04°, 3.075 Å, I 37.1; 30.70°, 2.912 Å, I 16.6; 32.30°, 2.772 Å, I 100.0; 34.32°, 2.613 Å, I 78.8; 47.84°, 1.901 Å, I 18.6; 52.18°, 1.753 Å, I 13.3; 53.23°, 1.721 Å, I 9.5; 59.23°, 1.560 Å, I 10.6; 59.54°, 1.553 Å, I 12.6; 61.47°, 1.508 Å, I 9.1; 63.94°, 1.456 Å, I 13.9

Entry 2:
Starting from a cell relaxed with PBE, the PXRD pattern of Lu2HgAu was computed for Cu Kα (λ = 1.5418 Å).

Crystal structure
Unit cell a=5.0786 b=5.0786 c=5.0786 alpha=60.00 beta=60.00 gamma=60.00
Fractional positions:
1 Lu 0.2500 0.2500 0.2500
2 Lu 0.7500 0.7500 0.7500
3 Hg 0.0000 0.0000 0.0000
4 Au 0.5000 0.5000 0.5000

The 6 most intense peaks (10 to 90 degrees two-theta), sorted by position:
24.79°, 3.591 Å, I 0.6; 35.35°, 2.539 Å, I 100.0; 50.85°, 1.796 Å, I 18.0; 63.45°, 1.466 Å, I 37.3; 74.77°, 1.270 Å, I 11.7; 85.51°, 1.136 Å, I 17.0

Entry 3:
Starting from a cell relaxed with PBE, the PXRD pattern of LiY2Rh was computed for Cu Kα (λ = 1.5418 Å).

Crystal structure
Unit cell a=4.9592 b=4.9592 c=4.9592 alpha=60.00 beta=60.00 gamma=60.00
Fractional positions:
1 Li 0.0000 0.0000 0.0000
2 Y 0.2500 0.2500 0.2500
3 Y 0.7500 0.7500 0.7500
4 Rh 0.5000 0.5000 0.5000

The 12 most intense peaks (10 to 90 degrees two-theta), sorted by position:
21.95°, 4.049 Å, I 29.2; 25.40°, 3.507 Å, I 7.6; 36.23°, 2.480 Å, I 100.0; 42.76°, 2.115 Å, I 14.8; 52.17°, 1.753 Å, I 17.2; 57.26°, 1.609 Å, I 6.2; 58.89°, 1.568 Å, I 2.6; 65.16°, 1.432 Å, I 34.4; 69.66°, 1.350 Å, I 4.5; 76.90°, 1.240 Å, I 10.5; 81.13°, 1.185 Å, I 4.4; 88.09°, 1.109 Å, I 15.1

Entry 4:
Starting from a cell relaxed with PBE, the PXRD pattern of KZr6BI14 was computed for Cu Kα (λ = 1.5418 Å).

Crystal structure
Unit cell a=10.8847 b=10.8847 c=13.1350 alpha=90.00 beta=90.00 gamma=84.42
Fractional positions:
1 K 0.0000 0.0000 0.0000
2 K 0.5000 0.5000 0.5000
3 Zr 0.0421 0.1707 0.6084
4 Zr 0.1339 0.8661 0.5981
5 Zr 0.1707 0.0421 0.3916
6 Zr 0.3293 0.4579 0.8916
7 Zr 0.3661 0.6339 0.0981
8 Zr 0.4579 0.3293 0.1084
9 Zr 0.5421 0.6707 0.8916
10 Zr 0.6339 0.3661 0.9019
11 Zr 0.6707 0.5421 0.1084
12 Zr 0.8293 0.9579 0.6084
13 Zr 0.8661 0.1339 0.4019
14 Zr 0.9579 0.8293 0.3916
15 B 0.0000 0.0000 0.5000
16 B 0.5000 0.5000 0.0000
17 I 0.0355 0.2130 0.2510
18 I 0.0996 0.4004 0.7500
19 I 0.1159 0.6342 0.4937
20 I 0.1342 0.6159 0.9937
21 I 0.1564 0.8436 0.2394
22 I 0.2130 0.0355 0.7490
23 I 0.2493 0.2493 0.0000
24 I 0.2507 0.2507 0.5000
25 I 0.2870 0.4645 0.2490
26 I 0.3436 0.6564 0.7394
27 I 0.3658 0.8841 0.4937
28 I 0.3841 0.8658 0.9937
29 I 0.4004 0.0996 0.2500
30 I 0.4645 0.2870 0.7510
31 I 0.5355 0.7130 0.2490
32 I 0.5996 0.9004 0.7500
33 I 0.6159 0.1342 0.0063
34 I 0.6342 0.1159 0.5063
35 I 0.6564 0.3436 0.2606
36 I 0.7130 0.5355 0.7510
37 I 0.7493 0.7493 0.5000
38 I 0.7507 0.7507 0.0000
39 I 0.7870 0.9645 0.2510
40 I 0.8436 0.1564 0.7606
41 I 0.8658 0.3841 0.0063
42 I 0.8841 0.3658 0.5063
43 I 0.9004 0.5996 0.2500
44 I 0.9645 0.7870 0.7490

The 12 most intense peaks (10 to 90 degrees two-theta), sorted by position:
10.59°, 8.357 Å, I 68.5; 26.14°, 3.409 Å, I 43.6; 27.16°, 3.284 Å, I 37.8; 27.93°, 3.195 Å, I 84.1; 28.71°, 3.109 Å, I 100.0; 31.88°, 2.807 Å, I 38.5; 32.58°, 2.748 Å, I 96.3; 43.38°, 2.086 Å, I 50.2; 44.98°, 2.015 Å, I 27.3; 48.46°, 1.878 Å, I 25.7; 48.96°, 1.861 Å, I 31.0; 51.93°, 1.761 Å, I 34.6

Entry 5:
Starting from a cell relaxed with PBE, the PXRD pattern of Ge7H4O22 was computed for Cu Kα (λ = 1.5418 Å).

Crystal structure
Unit cell a=7.9052 b=7.9052 c=7.9052 alpha=89.70 beta=89.70 gamma=89.70
Fractional positions:
1 Ge 0.0000 0.0000 0.0000
2 Ge 0.1426 0.1426 0.6390
3 Ge 0.1426 0.6390 0.1426
4 Ge 0.2921 0.2921 0.9846
5 Ge 0.2921 0.9846 0.2921
6 Ge 0.6390 0.1426 0.1426
7 Ge 0.9846 0.2921 0.2921
8 H 0.3230 0.9452 0.9452
9 H 0.3248 0.3248 0.3248
10 H 0.9452 0.3230 0.9452
11 H 0.9452 0.9452 0.3230
12 O 0.0087 0.2721 0.5169
13 O 0.0087 0.5169 0.2721
14 O 0.0116 0.0116 0.7687
15 O 0.0116 0.7687 0.0116
16 O 0.0286 0.0286 0.2547
17 O 0.0286 0.2547 0.0286
18 O 0.1695 0.7408 0.7408
19 O 0.2536 0.2536 0.2536
20 O 0.2547 0.0286 0.0286
21 O 0.2721 0.0087 0.5169
22 O 0.2721 0.5169 0.0087
23 O 0.2732 0.2732 0.7605
24 O 0.2732 0.7605 0.2732
25 O 0.3967 0.8244 0.8244
26 O 0.5169 0.0087 0.2721
27 O 0.5169 0.2721 0.0087
28 O 0.7408 0.1695 0.7408
29 O 0.7408 0.7408 0.1695
30 O 0.7605 0.2732 0.2732
31 O 0.7687 0.0116 0.0116
32 O 0.8244 0.3967 0.8244
33 O 0.8244 0.8244 0.3967

The 12 most intense peaks (10 to 90 degrees two-theta), sorted by position:
11.19°, 7.905 Å, I 100.0; 19.35°, 4.588 Å, I 8.6; 19.48°, 4.556 Å, I 11.5; 27.52°, 3.241 Å, I 4.3; 27.68°, 3.223 Å, I 20.4; 31.94°, 2.802 Å, I 5.1; 32.11°, 2.788 Å, I 8.7; 34.05°, 2.633 Å, I 8.2; 35.87°, 2.504 Å, I 9.1; 35.98°, 2.496 Å, I 5.4; 37.61°, 2.391 Å, I 4.9; 37.78°, 2.381 Å, I 12.2

Entry 6:
Starting from a cell relaxed with PBE, the PXRD pattern of Sr3Ga4Ir4 was computed for Cu Kα (λ = 1.5418 Å).

Crystal structure
Unit cell a=6.7761 b=6.7761 c=6.7761 alpha=109.47 beta=109.47 gamma=109.47
Fractional positions:
1 Sr 0.0000 0.5000 0.5000
2 Sr 0.5000 0.0000 0.5000
3 Sr 0.5000 0.5000 0.0000
4 Ga 0.0000 0.0000 0.3852
5 Ga 0.0000 0.3852 0.0000
6 Ga 0.3852 0.0000 0.0000
7 Ga 0.6148 0.6148 0.6148
8 Ir 0.0000 0.0000 0.7461
9 Ir 0.0000 0.7461 0.0000
10 Ir 0.2539 0.2539 0.2539
11 Ir 0.7461 0.0000 0.0000

The 12 most intense peaks (10 to 90 degrees two-theta), sorted by position:
16.02°, 5.533 Å, I 100.0; 27.93°, 3.194 Å, I 33.6; 32.36°, 2.766 Å, I 34.8; 36.31°, 2.474 Å, I 87.7; 39.91°, 2.259 Å, I 33.0; 43.27°, 2.091 Å, I 69.1; 49.42°, 1.844 Å, I 46.6; 60.32°, 1.534 Å, I 20.5; 65.32°, 1.429 Å, I 15.7; 67.75°, 1.383 Å, I 23.4; 74.80°, 1.269 Å, I 23.6; 81.62°, 1.180 Å, I 23.3